The following is a computed powder diffractogram of Ba3CrAs3. It was derived from the PBE geometry in Alexandria, using λ = 1.5418 Å (Cu Kα).
Peak positions follow from Bragg's law for the DFT cell and can differ from measured ones.

Peak list (8 most intense, 5° ≤ 2θ ≤ 70°, by angle)
25.60°, I = 44; 26.62°, I = 91; 26.75°, I = 75; 27.95°, I = 59; 32.00°, I = 36; 32.66°, I = 43; 37.32°, I = 100; 38.10°, I = 77

Structure:
a b c (Å): 10.630 10.630 13.332
angles (deg): 90.00 90.00 38.22
Atoms (fractional coordinates):
Ba (0.010, 0.636, 0.130)
Ba (0.136, 0.510, 0.630)
Ba (0.161, 0.839, 0.841)
Ba (0.339, 0.661, 0.341)
Ba (0.364, 0.990, 0.130)
Ba (0.490, 0.864, 0.630)
Ba (0.510, 0.136, 0.370)
Ba (0.636, 0.010, 0.870)
Ba (0.661, 0.339, 0.659)
Ba (0.839, 0.161, 0.159)
Ba (0.864, 0.490, 0.370)
Ba (0.990, 0.364, 0.870)
Cr (0.078, 0.078, 0.500)
Cr (0.422, 0.422, 0.000)
Cr (0.578, 0.578, 0.000)
Cr (0.922, 0.922, 0.500)
As (0.027, 0.664, 0.384)
As (0.164, 0.527, 0.884)
As (0.209, 0.791, 0.590)
As (0.291, 0.709, 0.090)
As (0.336, 0.973, 0.384)
As (0.473, 0.836, 0.884)
As (0.527, 0.164, 0.116)
As (0.664, 0.027, 0.616)
As (0.709, 0.291, 0.910)
As (0.791, 0.209, 0.410)
As (0.836, 0.473, 0.116)
As (0.973, 0.336, 0.616)


The following is a computed powder diffractogram of Ba2CrAs2. It was derived from the PBE geometry in Alexandria, using λ = 1.5418 Å (Cu Kα).
Peak positions follow from Bragg's law for the DFT cell and can differ from measured ones.

Peak list (8 most intense, 5° ≤ 2θ ≤ 70°, by angle)
25.26°, I = 48; 26.21°, I = 75; 27.14°, I = 89; 29.49°, I = 98; 32.24°, I = 51; 36.72°, I = 62; 37.41°, I = 71; 38.08°, I = 100

Structure:
a b c (Å): 8.336 8.336 8.336
angles (deg): 129.95 70.65 133.57
Atoms (fractional coordinates):
Ba (0.142, 0.183, 0.325)
Ba (0.358, 0.683, 0.041)
Ba (0.642, 0.317, 0.959)
Ba (0.858, 0.817, 0.675)
Cr (0.250, 0.750, 0.500)
Cr (0.750, 0.250, 0.500)
As (0.105, 0.697, 0.802)
As (0.395, 0.197, 0.592)
As (0.605, 0.803, 0.408)
As (0.895, 0.303, 0.198)